The following is a simulated powder diffractogram of CoAs2HO6. It was derived from a cell relaxed with GGA+U, using Cu Kα (λ = 1.5418 Å).
Neutral-atom scattering factors, no anomalous dispersion.

Structure:
Cell lengths 10.4961, 10.4300, 5.7510 Å; angles 90.00, 107.53, 90.00 degrees
Space group C2/c (No. 15)
Symmetry-distinct sites (fractional):
Co 0.0000 0.2406 0.2500
As 0.2008 0.4123 0.6552
H 0.0000 0.3021 0.7500
O 0.0658 0.3020 0.6069
O 0.1510 0.1545 0.1870
O 0.1686 0.4540 0.3233

Peak list (10 most intense, 2θ from 10° to 90°, by angle)
hkl 1 1 0, 2θ 12.3, d = 7.222 Å, intensity 57
hkl 1 1 -1, 2θ 18.1, d = 4.912 Å, intensity 69
hkl 0 2 1, 2θ 23.5, d = 3.779 Å, intensity 100
hkl 2 2 0, 2θ 24.7, d = 3.611 Å, intensity 91
hkl 2 2 -1, 2θ 26.4, d = 3.371 Å, intensity 78
hkl 3 1 0, 2θ 28.1, d = 3.176 Å, intensity 54
hkl 0 0 2, 2θ 32.7, d = 2.742 Å, intensity 24
hkl 1 3 1, 2θ 33.2, d = 2.702 Å, intensity 45
hkl 2 4 0, 2θ 38.9, d = 2.312 Å, intensity 24
hkl 5 3 -1, 2θ 50.9, d = 1.794 Å, intensity 26